Record 1
Structure and computed PXRD pattern of In3I2Cl4 (a cell relaxed with GGA-PBE; Cu Kα (λ = 1.5418 Å)).

```
18
Lattice="6.912 -8.128 0.000 6.912 8.128 0.000 -4.603 0.000 7.356" Properties=species:S:1:pos:R:3 pbc="T T T"
In 3.460 7.430 5.517
In 1.668 2.476 4.836
In 3.970 -2.476 1.158
In 5.252 2.476 6.198
In 7.554 -2.476 2.520
In 5.762 -7.430 1.839
I -0.658 0.821 5.244
I 1.643 -0.821 1.566
I 7.579 0.821 5.791
I 9.880 -0.821 2.112
Cl 1.501 5.007 5.168
Cl 3.991 2.115 3.861
Cl 5.420 5.007 5.867
Cl 2.929 2.115 7.173
Cl 6.293 -2.115 0.183
Cl 3.802 -5.007 1.489
Cl 5.231 -2.115 3.495
Cl 7.721 -5.007 2.189
```

Top 6 peaks for 2θ = 5–70°, in order of rising 2θ:
2θ/deg	Rel. int.
11.62	100
16.25	34
18.04	38
25.75	25
29.57	26
41.95	31

Record 2
Structure and computed PXRD pattern of In3I2Cl (a cell relaxed with GGA-PBE; Cu Kα (λ = 1.5418 Å)).

```
12
Lattice="6.932 -5.354 0.000 6.932 5.354 0.000 0.000 0.000 6.755" Properties=species:S:1:pos:R:3 pbc="T T T"
In 6.932 3.601 3.378
In 5.166 1.934 0.700
In 8.698 1.934 0.700
In 5.166 -1.934 4.078
In 8.698 -1.934 4.078
In 6.932 -3.601 0.000
I 4.299 1.434 4.327
I 4.299 -1.434 0.950
I 9.565 1.434 4.327
I 9.565 -1.434 0.950
Cl 6.932 4.225 6.098
Cl 6.932 -4.225 2.720
```

Top 6 peaks for 2θ = 5–70°, in order of rising 2θ:
2θ/deg	Rel. int.
20.94	100
24.80	92
26.39	60
31.68	83
36.00	75
37.20	45

Record 3
Structure and computed PXRD pattern of In15I12Cl5 (a cell relaxed with GGA-PBE; Cu Kα (λ = 1.5418 Å)).

```
32
Lattice="16.078 0.000 0.000 -8.039 13.924 0.000 0.000 0.000 6.326" Properties=species:S:1:pos:R:3 pbc="T T T"
In -1.563 2.706 0.000
In -3.798 6.578 0.000
In -5.486 9.502 0.000
In -1.294 6.726 3.163
In 3.125 0.000 0.000
In 2.553 4.422 0.000
In -1.567 11.682 3.163
In 7.596 0.000 0.000
In 6.472 2.242 3.163
In 2.861 9.440 3.163
In 4.241 7.346 0.000
In 6.745 7.198 3.163
In 10.972 0.000 0.000
In 6.476 11.218 0.000
In 10.900 4.484 3.163
I -1.689 2.926 3.163
I -4.627 8.014 3.163
I -0.436 6.045 0.000
I 3.379 0.000 3.163
I -2.586 11.279 0.000
I 3.412 5.910 3.163
I 5.453 2.645 0.000
I 3.022 10.524 0.000
I 9.254 0.000 3.163
I 7.603 7.879 0.000
I 6.350 10.998 3.163
I 11.061 3.400 0.000
Cl -6.878 11.912 0.000
Cl 1.161 2.012 0.000
Cl 0.000 9.283 3.163
Cl 8.039 4.641 3.163
Cl 13.755 0.000 0.000
```

Top 6 peaks for 2θ = 5–70°, in order of rising 2θ:
2θ/deg	Rel. int.
11.01	37
22.12	100
28.21	83
32.70	51
36.14	57
36.41	33

Record 4
Structure and computed PXRD pattern of In5I2Cl3 (a cell relaxed with GGA-PBE; Cu Kα (λ = 1.5418 Å)).

```
10
Lattice="8.295 -2.357 0.000 8.295 2.357 0.000 -6.978 0.000 9.613" Properties=species:S:1:pos:R:3 pbc="T T T"
In 0.000 0.000 0.000
In -1.411 0.000 3.965
In 3.554 0.000 1.896
In 6.059 0.000 7.716
In 11.024 0.000 5.647
I 0.591 0.000 7.097
I 9.021 0.000 2.516
Cl -4.085 0.000 8.315
Cl 4.806 0.000 4.806
Cl 13.697 0.000 1.298
```

Top 6 peaks for 2θ = 5–70°, in order of rising 2θ:
2θ/deg	Rel. int.
24.48	35
25.76	100
27.48	38
28.49	59
34.63	34
38.19	36

Record 5
Structure and computed PXRD pattern of InICl3 (a cell relaxed with GGA-PBE; Cu Kα (λ = 1.5418 Å)).

```
10
Lattice="6.479 0.000 0.000 0.000 7.780 0.000 0.000 0.000 6.434" Properties=species:S:1:pos:R:3 pbc="T T T"
In 0.000 0.054 0.000
In 3.239 7.725 3.217
I 0.000 5.379 1.598
I 3.239 2.401 4.814
Cl 0.000 2.183 5.039
Cl 1.614 1.167 1.653
Cl 1.625 6.613 4.870
Cl 3.239 5.596 1.822
Cl 4.854 6.613 4.870
Cl 4.865 1.167 1.653
```

Top 6 peaks for 2θ = 5–70°, in order of rising 2θ:
2θ/deg	Rel. int.
11.37	85
17.86	72
19.44	100
22.58	86
26.77	68
33.03	98

Record 6
Structure and computed PXRD pattern of In5I4Cl (a cell relaxed with GGA-PBE; Cu Kα (λ = 1.5418 Å)).

```
10
Lattice="-5.449 5.449 3.492 5.449 -5.449 3.492 5.449 5.449 -3.492" Properties=species:S:1:pos:R:3 pbc="T T T"
In 0.000 0.000 0.000
In 4.415 2.361 -0.129
In 3.087 -1.033 3.363
In 2.361 6.482 -0.129
In 1.033 3.087 3.363
I 7.551 0.973 -0.093
I 0.973 3.346 -0.093
I 4.476 2.103 3.399
I -2.103 4.476 3.399
Cl 0.000 0.000 2.912
```

Top 6 peaks for 2θ = 5–70°, in order of rising 2θ:
2θ/deg	Rel. int.
25.51	51
25.85	100
36.64	77
36.89	37
45.38	39
66.29	22

Record 7
Structure and computed PXRD pattern of Rb3In2I2Cl3 (a cell relaxed with GGA-PBE; Cu Kα (λ = 1.5418 Å)).

```
10
Lattice="-2.658 2.658 17.699 2.658 -2.658 17.699 2.658 2.658 -17.699" Properties=species:S:1:pos:R:3 pbc="T T T"
Rb 0.000 0.000 0.000
Rb 0.000 0.000 14.498
Rb 0.000 0.000 20.901
In 0.000 0.000 6.963
In 0.000 0.000 28.436
I 2.658 0.000 8.850
I 0.000 2.658 8.850
Cl 0.000 0.000 3.204
Cl 0.000 0.000 17.699
Cl 0.000 0.000 32.195
```

Top 6 peaks for 2θ = 5–70°, in order of rising 2θ:
2θ/deg	Rel. int.
9.99	53
20.90	79
24.21	36
33.72	61
34.81	100
61.02	37

Record 8
Structure and computed PXRD pattern of IrICl6 (a cell relaxed with GGA-PBE; Cu Kα (λ = 1.5418 Å)).

```
16
Lattice="5.963 -3.695 0.000 5.963 3.695 0.000 -3.118 0.000 13.557" Properties=species:S:1:pos:R:3 pbc="T T T"
Ir 2.981 1.847 0.000
Ir 1.423 -1.847 6.779
I 5.183 2.041 3.389
I 3.625 -2.041 10.168
Cl 5.176 2.074 0.818
Cl 2.626 0.108 1.472
Cl 0.614 0.357 11.967
Cl 1.067 -0.108 8.250
Cl 5.191 2.074 5.960
Cl 2.173 -0.357 5.189
Cl 6.635 0.357 8.369
Cl 3.617 -2.074 7.597
Cl 7.741 0.108 5.307
Cl 8.194 -0.357 1.590
Cl 6.182 -0.108 12.086
Cl 3.632 -2.074 12.739
```

Top 6 peaks for 2θ = 5–70°, in order of rising 2θ:
2θ/deg	Rel. int.
14.91	100
17.74	20
22.27	12
28.06	14
30.77	13
35.95	16

Record 9
Structure and computed PXRD pattern of IrI2Cl6 (a cell relaxed with GGA-PBE; Cu Kα (λ = 1.5418 Å)).

```
18
Lattice="6.893 -6.912 0.000 6.893 6.912 0.000 -1.172 0.000 8.308" Properties=species:S:1:pos:R:3 pbc="T T T"
Ir 6.014 4.668 6.231
Ir 6.600 -4.668 2.077
I 4.581 0.007 0.548
I 3.995 -0.007 4.702
I 8.619 0.007 3.606
I 8.033 -0.007 7.760
Cl 1.472 1.124 1.355
Cl 5.211 4.058 4.216
Cl 0.886 -1.124 5.509
Cl 3.702 1.495 6.785
Cl 6.818 4.058 8.245
Cl 4.288 -1.495 2.631
Cl 8.327 1.495 5.677
Cl 5.797 -4.058 0.062
Cl 8.913 -1.495 1.523
Cl 11.728 1.124 2.799
Cl 7.404 -4.058 4.091
Cl 11.142 -1.124 6.953
```

Top 6 peaks for 2θ = 5–70°, in order of rising 2θ:
2θ/deg	Rel. int.
13.32	69
14.70	51
18.27	42
20.31	100
20.55	75
24.12	42

Record 10
Structure and computed PXRD pattern of La6Ir2ICl3 (a cell relaxed with GGA-PBE; Cu Kα (λ = 1.5418 Å)).

```
12
Lattice="9.423 -2.116 0.000 9.423 2.116 0.000 -1.550 0.000 8.868" Properties=species:S:1:pos:R:3 pbc="T T T"
La -0.093 0.000 2.525
La 4.620 0.000 7.767
La 5.452 0.000 3.932
La 11.844 0.000 4.936
La 12.676 0.000 1.101
La 17.389 0.000 6.343
Ir 2.716 0.000 2.928
Ir 14.579 0.000 5.940
I 9.423 0.000 0.000
Cl 1.547 0.000 7.331
Cl 8.648 0.000 4.434
Cl 15.749 0.000 1.537
```

Top 6 peaks for 2θ = 5–70°, in order of rising 2θ:
2θ/deg	Rel. int.
12.56	41
28.86	45
28.99	100
40.35	29
42.36	33
42.73	19

Record 11
Structure and computed PXRD pattern of Nd3IrICl (a cell relaxed with GGA-PBE; Cu Kα (λ = 1.5418 Å)).

```
12
Lattice="9.711 0.000 0.000 0.000 4.154 0.000 -0.574 0.000 9.888" Properties=species:S:1:pos:R:3 pbc="T T T"
Nd 0.564 1.038 3.471
Nd 0.940 1.038 9.157
Nd 2.747 3.115 6.371
Nd 6.390 1.038 3.517
Nd 8.197 3.115 0.731
Nd 8.573 3.115 6.417
Ir 0.837 1.038 6.395
Ir 8.300 3.115 3.493
I 3.582 3.115 3.216
I 5.554 1.038 6.671
Cl 2.953 3.115 9.216
Cl 6.184 1.038 0.671
```

Top 6 peaks for 2θ = 5–70°, in order of rising 2θ:
2θ/deg	Rel. int.
8.94	43
9.12	32
27.05	40
28.29	100
38.76	23
40.32	25

Record 12
Structure and computed PXRD pattern of Rb2IrI2Cl4 (a cell relaxed with GGA-PBE; Cu Kα (λ = 1.5418 Å)).

```
9
Lattice="-3.888 3.888 4.983 3.888 -3.888 4.983 3.888 3.888 -4.983" Properties=species:S:1:pos:R:3 pbc="T T T"
Rb 3.888 0.000 2.492
Rb 0.000 3.888 2.492
Ir 0.000 0.000 0.000
I 0.000 0.000 2.680
I 0.000 0.000 7.286
Cl 1.668 1.668 0.000
Cl 2.219 -2.219 4.983
Cl -2.219 2.219 4.983
Cl 2.219 2.219 4.983
```

Top 6 peaks for 2θ = 5–70°, in order of rising 2θ:
2θ/deg	Rel. int.
14.45	93
16.12	74
22.87	100
29.13	64
32.57	96
49.36	53